(1)
This entry pairs a crystal structure of Er5Al3Cd with its calculated XRD peak list. Radiation: CuKα. Structure: a structure optimized by DFT (PBE).

Atomic structure:
```
Er5Al3Cd
1.0
8.9839 0.0000 0.0000
-4.4919 7.7803 0.0000
0.0000 0.0000 6.4348
Er Al Cd
10 6 2
Direct
0.0000 0.3009 0.2500
0.0000 0.6991 0.7500
0.3009 0.0000 0.2500
0.3009 0.3009 0.7500
0.3333 0.6667 0.0000
0.3333 0.6667 0.5000
0.6667 0.3333 0.0000
0.6667 0.3333 0.5000
0.6991 0.0000 0.7500
0.6991 0.6991 0.2500
0.0000 0.3640 0.7500
0.0000 0.6360 0.2500
0.3640 0.0000 0.7500
0.3640 0.3640 0.2500
0.6360 0.0000 0.2500
0.6360 0.6360 0.7500
0.0000 0.0000 0.0000
0.0000 0.0000 0.5000
```

Top 12 peaks for 2θ from 5° to 70°, in order of rising 2θ:
19.8 deg, 4.492 Å, I = 11; 24.2 deg, 3.683 Å, I = 55; 33.5 deg, 2.675 Å, I = 12; 34.3 deg, 2.616 Å, I = 100; 34.6 deg, 2.593 Å, I = 85; 42.6 deg, 2.121 Å, I = 9; 46.9 deg, 1.936 Å, I = 10; 49.5 deg, 1.842 Å, I = 33; 57.3 deg, 1.609 Å, I = 8; 61.8 deg, 1.502 Å, I = 29; 62.0 deg, 1.497 Å, I = 12; 68.7 deg, 1.367 Å, I = 29



(2)
This entry pairs a crystal structure of Ac4Tl2Ru with its calculated XRD peak list. Radiation: CuKα. Structure: a structure optimized by DFT (PBE).

Atomic structure:
```
Ac4Tl2Ru
1.0
14.0371 0.0000 0.0000
0.0000 4.3497 0.0000
-5.2956 0.0000 8.3333
Ac Tl Ru
8 4 2
Direct
0.0890 0.0000 0.3476
0.1556 0.5000 0.0505
0.3444 0.0000 0.9495
0.4110 0.5000 0.6524
0.5890 0.5000 0.3476
0.6556 0.0000 0.0505
0.8444 0.5000 0.9495
0.9110 0.0000 0.6524
0.1288 0.5000 0.6575
0.3712 0.0000 0.3425
0.6288 0.0000 0.6575
0.8712 0.5000 0.3425
0.0000 0.0000 0.0000
0.5000 0.5000 0.0000
```

Top 12 peaks for 2θ from 5° to 70°, in order of rising 2θ:
26.0 deg, 3.429 Å, I = 62; 27.6 deg, 3.230 Å, I = 80; 28.0 deg, 3.182 Å, I = 100; 30.1 deg, 2.972 Å, I = 38; 30.2 deg, 2.962 Å, I = 38; 30.6 deg, 2.924 Å, I = 59; 32.2 deg, 2.778 Å, I = 61; 41.5 deg, 2.175 Å, I = 40; 44.4 deg, 2.042 Å, I = 39; 50.3 deg, 1.815 Å, I = 34; 52.1 deg, 1.754 Å, I = 39; 53.5 deg, 1.713 Å, I = 34



(3)
This entry pairs a crystal structure of LiGe7Ir3 with its calculated XRD peak list. Radiation: CuKα. Structure: a structure optimized by DFT (PBE).

Atomic structure:
```
LiGe7Ir3
1.0
3.9550 2.2834 6.9140
-3.9550 2.2834 6.9140
0.0000 -4.5668 6.9140
Li Ge Ir
2 14 6
Direct
0.0000 0.0000 0.0000
0.5000 0.5000 0.5000
0.0750 0.8497 0.6697
0.1503 0.3303 0.9250
0.1697 0.3497 0.5750
0.2500 0.2500 0.2500
0.3303 0.9250 0.1503
0.3497 0.5750 0.1697
0.4250 0.8303 0.6503
0.5750 0.1697 0.3497
0.6503 0.4250 0.8303
0.6697 0.0750 0.8497
0.7500 0.7500 0.7500
0.8303 0.6503 0.4250
0.8497 0.6697 0.0750
0.9250 0.1503 0.3303
0.0691 0.7500 0.4309
0.2500 0.5691 0.9309
0.4309 0.0691 0.7500
0.5691 0.9309 0.2500
0.7500 0.4309 0.0691
0.9309 0.2500 0.5691
```

Top 12 peaks for 2θ from 5° to 70°, in order of rising 2θ:
15.5 deg, 5.716 Å, I = 18; 22.5 deg, 3.955 Å, I = 29; 25.8 deg, 3.457 Å, I = 26; 26.0 deg, 3.433 Å, I = 100; 34.9 deg, 2.569 Å, I = 35; 38.9 deg, 2.316 Å, I = 17; 39.5 deg, 2.283 Å, I = 36; 45.6 deg, 1.991 Å, I = 75; 47.7 deg, 1.905 Å, I = 61; 47.8 deg, 1.901 Å, I = 58; 63.7 deg, 1.461 Å, I = 28; 68.0 deg, 1.378 Å, I = 24



(4)
This entry pairs a crystal structure of MoPd3Rh with its calculated XRD peak list. Radiation: CuKα. Structure: a structure optimized by DFT (PBE).

Atomic structure:
```
MoPd3Rh
1.0
2.7559 0.0000 0.0000
-0.0003 4.5019 0.0000
-1.3683 -2.2441 6.2203
Mo Pd Rh
1 3 1
Direct
0.0000 0.0000 0.0000
0.1116 0.6128 0.2257
0.4091 0.4102 0.8207
0.6938 0.1945 0.3889
0.8090 0.8119 0.6242
```

Top 12 peaks for 2θ from 5° to 70°, in order of rising 2θ:
28.7 deg, 3.110 Å, I = 3; 33.3 deg, 2.691 Å, I = 9; 38.3 deg, 2.350 Å, I = 4; 39.3 deg, 2.295 Å, I = 36; 40.1 deg, 2.251 Å, I = 53; 41.1 deg, 2.199 Å, I = 100; 41.5 deg, 2.178 Å, I = 92; 48.5 deg, 1.875 Å, I = 10; 53.0 deg, 1.726 Å, I = 4; 57.3 deg, 1.607 Å, I = 23; 62.1 deg, 1.494 Å, I = 19; 68.0 deg, 1.378 Å, I = 11



(5)
This entry pairs a crystal structure of Ac2ScNiS5 with its calculated XRD peak list. Radiation: CuKα. Structure: a structure optimized by DFT (PBE).

Atomic structure:
```
Ac2ScNiS5
1.0
1.9864 -8.3720 0.0000
1.9864 8.3720 0.0000
0.0000 0.0000 12.0769
Ac Sc Ni S
4 2 2 10
Direct
0.1198 0.8802 0.5000
0.1238 0.8762 0.8601
0.8762 0.1238 0.3601
0.8802 0.1198 0.0000
0.1803 0.8197 0.1820
0.8197 0.1803 0.6820
0.4403 0.5597 0.5940
0.5597 0.4403 0.0940
0.0290 0.9710 0.1764
0.3062 0.6938 0.8313
0.3081 0.6919 0.5358
0.3386 0.6614 0.1798
0.4992 0.5008 0.4246
0.5008 0.4992 0.9246
0.6614 0.3386 0.6798
0.6919 0.3081 0.0358
0.6938 0.3062 0.3313
0.9710 0.0290 0.6764
```

Top 12 peaks for 2θ from 5° to 70°, in order of rising 2θ:
14.7 deg, 6.038 Å, I = 32; 21.2 deg, 4.186 Å, I = 56; 23.0 deg, 3.865 Å, I = 32; 24.5 deg, 3.628 Å, I = 83; 25.9 deg, 3.440 Å, I = 26; 27.6 deg, 3.237 Å, I = 30; 32.1 deg, 2.788 Å, I = 100; 32.9 deg, 2.719 Å, I = 26; 35.0 deg, 2.560 Å, I = 29; 35.6 deg, 2.522 Å, I = 38; 38.2 deg, 2.357 Å, I = 35; 39.3 deg, 2.293 Å, I = 28



(6)
This entry pairs a crystal structure of La6CuRu2Cl3 with its calculated XRD peak list. Radiation: CuKα. Structure: a structure optimized by DFT (PBE).

Atomic structure:
```
La6CuRu2Cl3
1.0
3.5978 -6.2323 0.0000
3.5978 6.2323 0.0000
-2.3909 0.0000 7.7006
La Cu Ru Cl
6 1 2 3
Direct
0.0823 0.4313 0.7942
0.2193 0.2193 0.2063
0.4313 0.0823 0.7942
0.5687 0.9177 0.2058
0.7807 0.7807 0.7937
0.9177 0.5687 0.2058
0.5000 0.5000 0.0000
0.1663 0.8337 0.0000
0.8337 0.1663 0.0000
0.0000 0.0000 0.5000
0.3299 0.6701 0.5000
0.6701 0.3299 0.5000
```

Top 12 peaks for 2θ from 5° to 70°, in order of rising 2θ:
11.5 deg, 7.701 Å, I = 33; 25.9 deg, 3.435 Å, I = 17; 29.2 deg, 3.054 Å, I = 100; 37.0 deg, 2.432 Å, I = 18; 40.0 deg, 2.252 Å, I = 32; 43.6 deg, 2.077 Å, I = 35; 45.2 deg, 2.005 Å, I = 5; 50.3 deg, 1.814 Å, I = 13; 53.3 deg, 1.718 Å, I = 17; 60.6 deg, 1.527 Å, I = 9; 66.2 deg, 1.412 Å, I = 8; 68.7 deg, 1.366 Å, I = 5



(7)
This entry pairs a crystal structure of Ca10Sb4O3 with its calculated XRD peak list. Radiation: CuKα. Structure: a structure optimized by DFT (PBE).

Atomic structure:
```
Ca10Sb4O3
1.0
-2.3721 2.3721 18.2126
2.3721 -2.3721 18.2126
2.3721 2.3721 -18.2126
Ca Sb O
10 4 3
Direct
0.0000 0.5000 0.5000
0.0679 0.0679 0.0000
0.1365 0.6365 0.5000
0.2144 0.2144 0.0000
0.3635 0.8635 0.5000
0.5000 0.0000 0.5000
0.6365 0.1365 0.5000
0.7856 0.7856 0.0000
0.8635 0.3635 0.5000
0.9321 0.9321 0.0000
0.3017 0.3017 0.0000
0.4330 0.4330 0.0000
0.5670 0.5670 0.0000
0.6983 0.6983 0.0000
0.0000 0.0000 0.0000
0.1316 0.1316 0.0000
0.8684 0.8684 0.0000
```

Top 12 peaks for 2θ from 5° to 70°, in order of rising 2θ:
18.9 deg, 4.704 Å, I = 19; 25.4 deg, 3.506 Å, I = 34; 26.6 deg, 3.355 Å, I = 35; 30.4 deg, 2.936 Å, I = 26; 33.2 deg, 2.701 Å, I = 100; 34.5 deg, 2.602 Å, I = 21; 37.9 deg, 2.372 Å, I = 60; 52.2 deg, 1.753 Å, I = 23; 54.7 deg, 1.677 Å, I = 19; 61.8 deg, 1.501 Å, I = 14; 62.6 deg, 1.485 Å, I = 14; 65.5 deg, 1.425 Å, I = 26



(8)
This entry pairs a crystal structure of CaHo3Ag2 with its calculated XRD peak list. Radiation: CuKα. Structure: a structure optimized by DFT (PBE).

Atomic structure:
```
CaHo3Ag2
1.0
5.0149 0.0000 0.0000
0.0000 9.1136 0.0000
0.0000 0.0000 7.2042
Ca Ho Ag
2 6 4
Direct
0.0000 0.0662 0.0000
0.0000 0.9338 0.5000
0.0000 0.3293 0.6283
0.0000 0.6707 0.1283
0.5000 0.1840 0.3286
0.5000 0.4348 0.9556
0.5000 0.5652 0.4556
0.5000 0.8160 0.8286
0.0000 0.3584 0.2221
0.0000 0.6416 0.7221
0.5000 0.1463 0.7322
0.5000 0.8537 0.2322
```

Top 12 peaks for 2θ from 5° to 70°, in order of rising 2θ:
9.7 deg, 9.114 Å, I = 41; 29.2 deg, 3.054 Å, I = 76; 30.6 deg, 2.926 Å, I = 63; 31.7 deg, 2.826 Å, I = 22; 32.1 deg, 2.786 Å, I = 94; 34.5 deg, 2.598 Å, I = 100; 35.8 deg, 2.507 Å, I = 74; 36.8 deg, 2.444 Å, I = 23; 38.8 deg, 2.322 Å, I = 47; 42.9 deg, 2.107 Å, I = 35; 53.8 deg, 1.704 Å, I = 37; 58.8 deg, 1.570 Å, I = 28



(9)
This entry pairs a crystal structure of Y2Ho2In3 with its calculated XRD peak list. Radiation: CuKα. Structure: a structure optimized by DFT (PBE).

Atomic structure:
```
Y2Ho2In3
1.0
3.4796 0.0000 0.0000
0.0000 31.9934 0.0000
0.0000 0.0000 3.5026
Y Ho In
4 4 6
Direct
0.0000 0.0678 0.0000
0.0000 0.9322 0.0000
0.5000 0.4322 0.0000
0.5000 0.5678 0.0000
0.0000 0.2015 0.0000
0.0000 0.7985 0.0000
0.5000 0.2985 0.0000
0.5000 0.7015 0.0000
0.0000 0.3640 0.5000
0.0000 0.5000 0.5000
0.0000 0.6360 0.5000
0.5000 0.0000 0.5000
0.5000 0.1360 0.5000
0.5000 0.8640 0.5000
```

Top 12 peaks for 2θ from 5° to 70°, in order of rising 2θ:
26.0 deg, 3.422 Å, I = 15; 30.5 deg, 2.928 Å, I = 14; 32.3 deg, 2.769 Å, I = 100; 34.0 deg, 2.635 Å, I = 76; 36.5 deg, 2.461 Å, I = 65; 37.4 deg, 2.405 Å, I = 17; 39.4 deg, 2.285 Å, I = 18; 52.2 deg, 1.751 Å, I = 15; 52.6 deg, 1.740 Å, I = 14; 57.1 deg, 1.614 Å, I = 44; 62.8 deg, 1.480 Å, I = 29; 64.1 deg, 1.452 Å, I = 23



(10)
This entry pairs a crystal structure of Ho2PaNbN6 with its calculated XRD peak list. Radiation: CuKα. Structure: a structure optimized by DFT (PBE).

Atomic structure:
```
Ho2PaNbN6
1.0
2.8816 1.6637 4.9035
-2.8816 1.6637 4.9035
0.0000 -3.3273 4.9035
Ho Pa Nb N
2 1 1 6
Direct
0.0000 0.0000 0.0000
0.4990 0.4990 0.4990
0.2248 0.2248 0.2248
0.7261 0.7261 0.7261
0.0640 0.4434 0.8517
0.3576 0.9172 0.5862
0.4434 0.8517 0.0640
0.5862 0.3576 0.9172
0.8517 0.0640 0.4434
0.9172 0.5862 0.3576
```

Top 12 peaks for 2θ from 5° to 70°, in order of rising 2θ:
18.8 deg, 4.726 Å, I = 13; 21.5 deg, 4.130 Å, I = 8; 30.2 deg, 2.961 Å, I = 100; 31.0 deg, 2.882 Å, I = 96; 36.2 deg, 2.484 Å, I = 7; 43.8 deg, 2.065 Å, I = 42; 48.8 deg, 1.867 Å, I = 15; 53.1 deg, 1.725 Å, I = 17; 54.7 deg, 1.678 Å, I = 41; 55.2 deg, 1.664 Å, I = 24; 62.8 deg, 1.480 Å, I = 9; 64.7 deg, 1.441 Å, I = 13



(11)
This entry pairs a crystal structure of Pm3Ag2Pd2 with its calculated XRD peak list. Radiation: CuKα. Structure: a structure optimized by DFT (PBE).

Atomic structure:
```
Pm3Ag2Pd2
1.0
4.0647 0.0000 0.0000
0.0000 21.8296 0.0000
0.0000 0.0000 3.8090
Pm Ag Pd
6 4 4
Direct
0.0000 0.0000 0.0000
0.0000 0.1674 0.0000
0.0000 0.8326 0.0000
0.5000 0.3326 0.0000
0.5000 0.5000 0.0000
0.5000 0.6674 0.0000
0.0000 0.4247 0.5000
0.0000 0.5753 0.5000
0.5000 0.0753 0.5000
0.5000 0.9247 0.5000
0.0000 0.2919 0.5000
0.0000 0.7081 0.5000
0.5000 0.2081 0.5000
0.5000 0.7919 0.5000
```

Top 12 peaks for 2θ from 5° to 70°, in order of rising 2θ:
24.5 deg, 3.638 Å, I = 9; 30.0 deg, 2.975 Å, I = 13; 32.5 deg, 2.757 Å, I = 100; 34.1 deg, 2.631 Å, I = 62; 34.5 deg, 2.596 Å, I = 20; 36.3 deg, 2.474 Å, I = 63; 38.4 deg, 2.345 Å, I = 26; 44.6 deg, 2.032 Å, I = 27; 47.8 deg, 1.904 Å, I = 22; 57.3 deg, 1.608 Å, I = 27; 61.4 deg, 1.509 Å, I = 26; 67.4 deg, 1.390 Å, I = 15